Structure and computed X-ray powder pattern of Nb2Ir3Ru (a cell relaxed with PBE; copper Kα).

```
Nb2Ir3Ru
1.0
1.964 -6.035 0.000
1.964 6.035 0.000
0.000 0.000 3.916
Nb Ir Ru
2 3 1
direct
0.156 0.844 0.000
0.844 0.156 0.000
0.000 0.000 0.500
0.335 0.665 0.500
0.665 0.335 0.500
0.500 0.500 0.000
```

The 6 most intense peaks (10 to 90 degrees two-theta), in order of rising 2θ:
2θ 39.47, rel. 100; 2θ 45.07, rel. 17; 2θ 46.23, rel. 16; 2θ 46.37, rel. 16; 2θ 81.05, rel. 12; 2θ 81.26, rel. 12